This entry pairs a crystal structure of CeBrCl3 with its theoretical X-ray diffraction stick pattern. Radiation: λ = 1.5418 Å (Cu Kα). Structure: a structure optimized by DFT (GGA-PBE).

```
10
Lattice="6.5695 0.0000 0.0000 0.0000 8.4515 0.0000 -0.0453 0.0000 6.5971" Properties=species:S:1:pos:R:3 pbc="T T T"
Ce -0.0017 2.1129 3.2833
Ce 6.5259 6.3387 3.3138
Br 1.8445 6.3387 1.4041
Br 4.6797 2.1129 5.1929
Cl 1.2164 8.4482 4.5200
Cl 1.2164 4.2292 4.5200
Cl 1.7636 2.1129 1.5002
Cl 4.7605 6.3387 5.0969
Cl 5.3078 0.0034 2.0771
Cl 5.3078 4.2224 2.0771
```

Main lines, in order of rising 2θ (2θ = 10–90°):
| two_theta | Rel. int. |
| --- | --- |
| 13.45 | 100 |
| 19.13 | 45 |
| 21.02 | 29 |
| 28.57 | 78 |
| 30.27 | 36 |
| 37.29 | 26 |

---

This entry pairs a crystal structure of ThGePt3 with its theoretical X-ray diffraction stick pattern. Radiation: λ = 1.5418 Å (Cu Kα). Structure: a structure optimized by DFT (GGA-PBE).

```
10
Lattice="6.3799 0.0000 0.0000 -3.1899 5.5251 0.0000 0.0000 0.0000 5.6033" Properties=species:S:1:pos:R:3 pbc="T T T"
Th 0.0000 3.6834 1.4008
Th 3.1899 1.8417 4.2025
Ge 0.0000 0.0000 0.0000
Ge 0.0000 0.0000 2.8016
Pt 0.0000 2.1239 4.2025
Pt -1.3506 4.4632 4.2025
Pt 1.8393 1.0619 1.4008
Pt 1.3506 4.4632 4.2025
Pt 4.5405 1.0619 1.4008
Pt 3.1899 3.4012 1.4008
```

Main lines, in order of rising 2θ (2θ = 10–90°):
| two_theta | Rel. int. |
| --- | --- |
| 31.94 | 30 |
| 32.41 | 15 |
| 36.26 | 100 |
| 46.15 | 26 |
| 57.81 | 16 |
| 59.77 | 24 |

---

This entry pairs a crystal structure of Ho5Hg2Pd2 with its theoretical X-ray diffraction stick pattern. Radiation: λ = 1.5418 Å (Cu Kα). Structure: a structure optimized by DFT (GGA-PBE).

```
18
Lattice="7.9121 -3.8270 0.0000 7.9121 3.8270 0.0000 0.0000 0.0000 7.5507" Properties=species:S:1:pos:R:3 pbc="T T T"
Ho 0.0000 0.0000 0.0000
Ho 5.9080 2.4897 5.0444
Ho 5.9080 1.3373 1.2690
Ho 9.9162 2.4897 5.0444
Ho 9.9162 1.3373 1.2690
Ho 7.9121 0.0000 3.7754
Ho 5.9080 -1.3373 6.2817
Ho 5.9080 -2.4897 2.5063
Ho 9.9162 -1.3373 6.2817
Ho 9.9162 -2.4897 2.5063
Hg 3.3795 0.0000 0.0000
Hg 4.5326 0.0000 3.7754
Hg 11.2916 0.0000 3.7754
Hg 12.4447 0.0000 0.0000
Pd 7.9121 2.8311 2.7848
Pd 7.9121 0.9959 6.5602
Pd 7.9121 -0.9959 0.9905
Pd 7.9121 -2.8311 4.7659
```

Main lines, in order of rising 2θ (2θ = 10–90°):
| two_theta | Rel. int. |
| --- | --- |
| 31.40 | 56 |
| 32.55 | 57 |
| 32.82 | 100 |
| 33.34 | 52 |
| 34.71 | 61 |
| 37.65 | 45 |